Entry 1:
Structure and calculated powder diffractogram of BaGdCuSe3 (DFT lattice parameters and positions (PBE); Cu Ka).

Most intense lines, 2θ from 10° to 80°, in order of rising 2θ:
- 2θ = 12.53°, I = 35, hkl 0 2 0
- 2θ = 20.74°, I = 38, hkl 0 2 2
- 2θ = 28.42°, I = 41, hkl 1 3 0
- 2θ = 29.63°, I = 100, hkl 1 3 1
- 2θ = 33.01°, I = 75, hkl 1 3 2
- 2θ = 33.27°, I = 41, hkl 0 0 4
- 2θ = 33.39°, I = 35, hkl 1 1 3
- 2θ = 41.87°, I = 31, hkl 0 6 2
- 2θ = 41.99°, I = 46, hkl 1 5 2
- 2θ = 42.91°, I = 40, hkl 2 0 0

Structural model:
Cell lengths 4.216, 14.128, 10.773 Å; angles 90.00, 90.00, 90.00 degrees
Space group Cmcm (No. 63)
Symmetry-distinct sites (fractional):
1 Ba 0.000 0.249 0.250 [4 per cell]
2 Gd 0.000 0.500 0.000 [4 per cell]
3 Cu 0.000 0.027 0.750 [4 per cell]
4 Se 0.000 0.133 0.566 [8 per cell]
5 Se 0.000 0.428 0.750 [4 per cell]

***

Entry 2:
Structure and calculated powder diffractogram of BaGdCuTe3 (DFT lattice parameters and positions (PBE); Cu Ka).

Most intense lines, 2θ from 10° to 80°, in order of rising 2θ:
- 2θ = 26.12°, I = 40, hkl 0 2 3
- 2θ = 26.74°, I = 51, hkl 1 3 0
- 2θ = 27.86°, I = 93, hkl 1 3 1
- 2θ = 31.02°, I = 100, hkl 0 0 4
- 2θ = 31.22°, I = 34, hkl 1 1 3
- 2θ = 39.54°, I = 81, hkl 0 6 2
- 2θ = 40.09°, I = 39, hkl 2 0 0
- 2θ = 48.02°, I = 30, hkl 1 3 5
- 2θ = 51.58°, I = 22, hkl 2 0 4
- 2θ = 57.58°, I = 31, hkl 2 6 2

Structural model:
Cell lengths 4.498, 14.892, 11.514 Å; angles 90.00, 90.00, 90.00 degrees
Space group Cmcm (No. 63)
Symmetry-distinct sites (fractional):
1 Ba 0.000 0.250 0.250 [4 per cell]
2 Gd 0.000 0.000 0.000 [4 per cell]
3 Cu 0.000 0.467 0.750 [4 per cell]
4 Te 0.000 0.070 0.750 [4 per cell]
5 Te 0.000 0.362 0.563 [8 per cell]

***

Entry 3:
Structure and calculated powder diffractogram of Ba4Cu3Ge20 (DFT lattice parameters and positions (PBE); Cu Ka).

Most intense lines, 2θ from 10° to 80°, in order of rising 2θ:
- 2θ = 28.58°, I = 25, hkl 2 2 2
- 2θ = 29.77°, I = 39, hkl 3 2 0
- 2θ = 30.92°, I = 100, hkl 3 2 1
- 2θ = 33.12°, I = 11, hkl 4 0 0
- 2θ = 34.17°, I = 14, hkl 4 1 0
- 2θ = 49.10°, I = 34, hkl 5 3 0
- 2θ = 49.86°, I = 11, hkl 5 3 1
- 2θ = 50.62°, I = 23, hkl 6 0 0
- 2θ = 52.11°, I = 42, hkl 5 3 2
- 2θ = 68.26°, I = 9, hkl 6 5 1

Structural model:
Cell lengths 10.819, 10.819, 10.819 Å; angles 90.00, 90.00, 90.00 degrees
Space group Pm-3n (No. 223)
Symmetry-distinct sites (fractional):
1 Ba 0.000 0.000 0.000 [2 per cell]
2 Ba 0.000 0.250 0.500 [6 per cell]
3 Cu 0.000 0.500 0.250 [6 per cell]
4 Ge 0.000 0.316 0.119 [24 per cell]
5 Ge 0.183 0.183 0.183 [16 per cell]